[1]
Diffraction record for La4Pm8Mg. The XRD peak list is theoretical, not measured: it uses a DFT-relaxed cell (GGA-PBE, Alexandria) and Cu Kα X-rays.
Lines closer than 0.1° are merged.

Atomic structure:
```
13
Lattice="6.5817 0.0000 0.0000 -2.2966 6.1681 0.0000 -2.1338 -3.0706 11.3782" Properties=species:S:1:pos:R:3 pbc="T T T"
La 0.0000 0.0000 0.0000
La -2.2152 1.5488 5.6891
La 2.2239 -1.5353 5.6891
La 2.1425 3.0841 0.0000
Pm -1.1605 -1.4787 7.7069
Pm -2.1135 1.6672 9.0640
Pm 0.0227 4.7393 2.3126
Pm 0.9766 1.5953 3.6717
Pm 1.1746 1.5022 7.7065
Pm 2.1286 -1.6418 9.0657
Pm 4.2648 1.4303 2.3142
Pm 3.3118 4.5762 3.6714
Mg -1.1483 3.0841 0.0000
```

Top 12 peaks for 10° ≤ 2θ ≤ 90°, in order of falling intensity:
28.75°, I = 1000; 28.95°, I = 522; 33.15°, I = 431; 33.04°, I = 427; 57.34°, I = 317; 33.58°, I = 302; 47.92°, I = 292; 30.02°, I = 250; 56.55°, I = 151; 59.99°, I = 145; 48.49°, I = 144; 39.75°, I = 139



[2]
Diffraction record for CaSb2P2O10. The XRD peak list is theoretical, not measured: it uses a DFT-relaxed cell (GGA-PBE, Alexandria) and Cu Kα X-rays.
Lines closer than 0.1° are merged.

Atomic structure:
```
30
Lattice="0.0000 6.2560 8.2200 3.9018 0.0000 8.2200 3.9018 6.2560 0.0000" Properties=species:S:1:pos:R:3 pbc="T T T"
Ca 0.9754 1.5640 2.0550
Ca 6.8281 10.9481 14.3849
Sb 3.9018 3.1280 4.1100
Sb 1.9509 6.2560 4.1100
Sb 1.9509 3.1280 8.2200
Sb 3.9018 6.2560 8.2200
P 2.9263 4.6920 1.2433
P 4.8772 7.8200 5.3532
P 2.9263 4.6920 11.0867
P 4.8772 7.8200 15.1967
O 2.7119 3.4361 2.1450
O 2.1834 1.7271 4.3870
O 3.6693 1.7271 7.9430
O 5.6202 4.8552 8.4970
O 3.1408 5.9480 2.1450
O 5.0917 6.5641 6.2550
O 2.9263 4.6920 4.7987
O 3.6693 7.6569 4.3870
O 2.9263 4.6920 7.5312
O 3.1408 3.4361 10.1849
O 4.6628 9.0760 6.2550
O 4.8772 7.8200 8.9087
O 4.1342 4.8552 12.0529
O 4.8772 7.8200 11.6412
O 2.7119 5.9480 10.1849
O 4.6628 6.5641 14.2949
O 2.1834 7.6569 7.9430
O 4.1342 10.7849 8.4970
O 5.6202 10.7849 12.0529
O 5.0917 9.0760 14.2949
```

Top 12 peaks for 10° ≤ 2θ ≤ 90°, in order of falling intensity:
29.08°, I = 1000; 30.35°, I = 753; 24.80°, I = 737; 14.42°, I = 609; 29.24°, I = 505; 21.04°, I = 420; 42.84°, I = 371; 21.62°, I = 355; 50.89°, I = 330; 51.88°, I = 282; 49.76°, I = 246; 41.30°, I = 231



[3]
Diffraction record for LaMn2Te. The XRD peak list is theoretical, not measured: it uses a DFT-relaxed cell (GGA-PBE, Alexandria) and Cu Kα X-rays.
Lines closer than 0.1° are merged.

Atomic structure:
```
12
Lattice="4.1926 0.0000 0.0000 -2.0963 3.6309 0.0000 0.0000 0.0000 16.9814" Properties=species:S:1:pos:R:3 pbc="T T T"
La 0.0000 0.0000 0.0000
La 0.0000 2.4206 11.3209
La 2.0963 1.2103 5.6605
Mn 0.0000 0.0000 3.6058
Mn 0.0000 0.0000 8.9300
Mn 0.0000 2.4206 3.2695
Mn 0.0000 2.4206 14.9267
Mn 2.0963 1.2103 9.2663
Mn 2.0963 1.2103 14.5904
Te 0.0000 0.0000 13.5051
Te 0.0000 2.4206 7.8447
Te 2.0963 1.2103 2.1842
```

Top 12 peaks for 10° ≤ 2θ ≤ 90°, in order of falling intensity:
32.45°, I = 1000; 43.15°, I = 768; 36.22°, I = 691; 25.08°, I = 521; 55.01°, I = 215; 72.37°, I = 185; 66.69°, I = 181; 60.16°, I = 180; 57.57°, I = 178; 54.47°, I = 177; 74.58°, I = 163; 31.61°, I = 139



[4]
Diffraction record for Pr3InAu. The XRD peak list is theoretical, not measured: it uses a DFT-relaxed cell (GGA-PBE, Alexandria) and Cu Kα X-rays.
Lines closer than 0.1° are merged.

Atomic structure:
```
20
Lattice="8.7701 -3.5417 0.0000 8.7701 3.5417 0.0000 -6.0147 0.0000 10.0255" Properties=species:S:1:pos:R:3 pbc="T T T"
Pr 4.3790 2.1111 5.4988
Pr -1.3818 0.1285 7.8764
Pr 1.6256 -0.1285 2.8636
Pr 4.1391 2.1111 9.5394
Pr 5.2478 0.0994 2.3599
Pr 2.2405 -0.0994 7.3726
Pr 9.2850 0.0994 2.6529
Pr 6.2777 -0.0994 7.6656
Pr 7.3864 -2.1111 0.4861
Pr 9.8999 0.1285 7.1619
Pr 12.9073 -0.1285 2.1491
Pr 7.1465 -2.1111 4.5267
In 0.8091 1.6414 9.8646
In 7.7090 1.6414 5.1736
In 3.8165 -1.6414 4.8519
In 10.7164 -1.6414 0.1609
Au 1.3777 1.7708 5.0128
Au 7.2664 2.5918 2.5064
Au 4.3851 -1.7708 0.0000
Au 4.2591 -2.5918 7.5191
```

Top 12 peaks for 10° ≤ 2θ ≤ 90°, in order of falling intensity:
30.91°, I = 1000; 30.61°, I = 545; 28.51°, I = 406; 35.83°, I = 367; 27.26°, I = 349; 37.57°, I = 279; 32.33°, I = 276; 44.25°, I = 195; 32.99°, I = 192; 31.09°, I = 165; 38.98°, I = 150; 43.82°, I = 139



[5]
Diffraction record for Pm7IrS5. The XRD peak list is theoretical, not measured: it uses a DFT-relaxed cell (GGA-PBE, Alexandria) and Cu Kα X-rays.
Lines closer than 0.1° are merged.

Atomic structure:
```
26
Lattice="1.9835 -6.6613 0.0000 1.9835 6.6613 0.0000 0.0000 0.0000 24.2505" Properties=species:S:1:pos:R:3 pbc="T T T"
Pm 1.9835 6.1153 12.1252
Pm 1.9835 4.8231 5.1892
Pm 1.9835 4.8146 19.0638
Pm 1.9835 2.6184 10.3926
Pm 1.9835 2.6126 13.8588
Pm 1.9835 1.1826 3.4451
Pm 1.9835 1.1729 20.8016
Pm 1.9835 -1.1729 8.6763
Pm 1.9835 -1.1826 15.5703
Pm 1.9835 -2.6126 1.7336
Pm 1.9835 -2.6184 22.5178
Pm 1.9835 -4.8146 6.9386
Pm 1.9835 -4.8231 17.3144
Pm 1.9835 -6.1153 0.0000
Ir 1.9835 2.5933 0.0100
Ir 1.9835 -2.5933 12.1353
S 1.9835 5.9942 2.6097
S 1.9835 5.9865 21.6419
S 1.9835 3.6686 7.7959
S 1.9835 3.6606 16.4566
S 1.9835 0.0052 6.0617
S 1.9835 -0.0052 18.1869
S 1.9835 -3.6606 4.3314
S 1.9835 -3.6686 19.9212
S 1.9835 -5.9865 9.5166
S 1.9835 -5.9942 14.7349
```

Top 12 peaks for 10° ≤ 2θ ≤ 90°, in order of falling intensity:
29.05°, I = 1000; 31.12°, I = 925; 32.22°, I = 612; 27.72°, I = 476; 55.08°, I = 466; 29.86°, I = 339; 45.74°, I = 303; 41.05°, I = 278; 44.89°, I = 237; 45.05°, I = 213; 73.56°, I = 213; 44.30°, I = 195



[6]
Diffraction record for YGeRh2. The XRD peak list is theoretical, not measured: it uses a DFT-relaxed cell (GGA-PBE, Alexandria) and Cu Kα X-rays.
Lines closer than 0.1° are merged.

Atomic structure:
```
8
Lattice="4.2762 0.0000 0.0000 -2.1381 3.7033 0.0000 0.0000 0.0000 9.2059" Properties=species:S:1:pos:R:3 pbc="T T T"
Y 0.0000 2.4689 2.3015
Y 2.1381 1.2344 6.9045
Ge 0.0000 0.0000 0.0000
Ge 0.0000 0.0000 4.6030
Rh 0.0000 2.4689 5.3020
Rh 0.0000 2.4689 8.5070
Rh 2.1381 1.2344 0.6990
Rh 2.1381 1.2344 3.9040
```

Top 12 peaks for 10° ≤ 2θ ≤ 90°, in order of falling intensity:
38.08°, I = 1000; 42.27°, I = 784; 58.19°, I = 283; 74.51°, I = 266; 19.28°, I = 162; 24.03°, I = 147; 65.89°, I = 141; 77.29°, I = 127; 46.85°, I = 94; 30.99°, I = 93; 76.40°, I = 87; 81.47°, I = 77



[7]
Diffraction record for Pu2ClO7. The XRD peak list is theoretical, not measured: it uses a DFT-relaxed cell (GGA-PBE, Alexandria) and Cu Kα X-rays.
Lines closer than 0.1° are merged.

Atomic structure:
```
10
Lattice="6.6513 -3.1910 0.0000 6.6513 3.1910 0.0000 -0.1277 0.0000 4.1480" Properties=species:S:1:pos:R:3 pbc="T T T"
Pu 2.0136 0.0000 2.0178
Pu 11.1614 0.0000 2.1301
Cl 6.6513 0.0000 0.0000
O -0.0638 0.0000 2.0740
O 4.5295 1.3882 2.1503
O 1.9705 0.0000 4.0922
O 8.6455 1.3882 1.9977
O 4.5295 -1.3882 2.1503
O 11.2045 0.0000 0.0558
O 8.6455 -1.3882 1.9977
```

Top 12 peaks for 10° ≤ 2θ ≤ 90°, in order of falling intensity:
24.45°, I = 1000; 15.40°, I = 731; 21.42°, I = 637; 50.09°, I = 369; 27.96°, I = 350; 26.66°, I = 324; 32.31°, I = 263; 33.15°, I = 228; 26.32°, I = 223; 13.32°, I = 206; 47.40°, I = 205; 26.82°, I = 200



[8]
Diffraction record for Pm2HoSc4. The XRD peak list is theoretical, not measured: it uses a DFT-relaxed cell (GGA-PBE, Alexandria) and Cu Kα X-rays.
Lines closer than 0.1° are merged.

Atomic structure:
```
14
Lattice="7.8240 -3.2506 0.0000 7.8240 3.2506 0.0000 -7.4703 0.0000 7.8408" Properties=species:S:1:pos:R:3 pbc="T T T"
Pm 0.0000 0.0000 0.0000
Pm 0.0509 -0.8328 3.5786
Pm 8.1267 -0.8328 4.2622
Pm 4.0888 -3.2007 3.9204
Ho -3.8623 -0.7999 7.7250
Ho 12.0400 -0.7999 0.1158
Sc 2.9506 0.2753 2.7983
Sc 5.9515 1.0405 1.9506
Sc 2.2261 1.0405 5.8903
Sc -0.8524 -0.1186 6.6985
Sc 5.2271 0.2753 5.0425
Sc 9.0301 -0.1186 1.1423
Sc 5.9665 -1.7420 1.9192
Sc 2.2111 -1.7420 5.9216
```

Top 12 peaks for 10° ≤ 2θ ≤ 90°, in order of falling intensity:
32.01°, I = 1000; 22.72°, I = 947; 35.91°, I = 788; 33.09°, I = 647; 32.12°, I = 590; 31.74°, I = 469; 46.50°, I = 394; 15.70°, I = 307; 31.59°, I = 297; 42.26°, I = 272; 16.37°, I = 234; 27.44°, I = 229